[1]
# AcV2IO8
Calculated powder diffraction line list, Cu Kα (weighted mean of Kα1 and Kα2). Input: a crystal structure in Alexandria, relaxed with GGA+U.
Kinematic intensities with the Lorentz-polarization factor, no thermal factor.

Principal peaks in the range 10° ≤ 2θ ≤ 80°, low angle first:
11.3°, rel. 12, (0 0 3); 21.5°, rel. 37, (0 1 2); 25.2°, rel. 100, (1 0 4); 35.2°, rel. 43, (1 1 0); 36.7°, rel. 36, (0 1 8); 42.3°, rel. 29, (1 1 6); 43.8°, rel. 23, (0 2 4); 51.8°, rel. 13, (2 0 8); 57.4°, rel. 21, (2 1 4); 59.5°, rel. 19, (1 1 12); 63.2°, rel. 12, (3 0 0); 64.2°, rel. 14, (1 2 8)

Crystal structure
abc: 5.0934 5.0934 23.5386
angles: 90.00 90.00 120.00
Space group R32 (No. 155, hexagonal axes)
One atom of each set of equivalent atoms:
Ac 0.0000 0.0000 0.0000 x3
V 0.0000 0.0000 0.2535 x6
I 0.0000 0.0000 0.5000 x3
O 0.0000 0.0000 0.3266 x6
O 0.0058 0.3275 0.9023 x18



[2]
# AcWIO4
Calculated powder diffraction line list, Cu Kα (weighted mean of Kα1 and Kα2). Input: a crystal structure in Alexandria, relaxed with GGA+U.
Kinematic intensities with the Lorentz-polarization factor, no thermal factor.

Principal peaks in the range 10° ≤ 2θ ≤ 80°, low angle first:
12.2°, rel. 25, (0 0 1); 22.6°, rel. 30, (2 0 1); 23.0°, rel. 100, (0 2 0); 24.5°, rel. 42, (0 0 2); 26.3°, rel. 23, (1 1 -2); 26.7°, rel. 90, (3 1 -1); 31.8°, rel. 54, (3 1 -2); 32.0°, rel. 26, (3 1 1); 33.8°, rel. 33, (0 2 2); 37.6°, rel. 19, (4 0 1); 42.7°, rel. 22, (3 3 -1); 46.3°, rel. 20, (3 3 -2)

Crystal structure
abc: 11.4971 7.7433 7.5425
angles: 90.00 105.21 90.00
Space group C2/m (No. 12)
One atom of each set of equivalent atoms:
Ac 0.2454 0.0000 0.1477 x4
W 0.1338 0.5000 0.2581 x4
I 0.0247 0.0000 0.7515 x4
O 0.0287 0.5000 0.7943 x4
O 0.1865 0.3170 0.1460 x8
O 0.1960 0.5000 0.5047 x4